Diffraction record for MnZnHg2. The powder X-ray diffraction pattern is theoretical, not measured: it uses DFT lattice parameters and positions (PBE) and Cu Kα, 1.54184 Å.
Intensities are scaled so that the largest is 100.

Largest 10 diffraction maxima, low angle first, 2θ from 10° to 90°:
d (Å), Rel. int.
3.772, 40.1
2.441, 100.0
2.362, 12.3
2.143, 17.1
2.100, 32.3
1.835, 12.0
1.500, 21.9
1.287, 13.2
1.269, 25.2
1.220, 11.2

```
4
Lattice="-2.1001 2.1001 4.2851 2.1001 -2.1001 4.2851 2.1001 2.1001 -4.2851" Properties=species:S:1:pos:R:3 pbc="T T T"
Mn 0.0000 0.0000 0.0000
Zn 2.1001 0.0000 2.1426
Hg 0.0000 0.0000 4.2851
Hg 0.0000 2.1001 2.1426
```